No. 1
Hf2Ni3As3: simulated PXRD pattern (Cu Kα (λ = 1.5418 Å)), based on a crystal structure in the Materials Project, relaxed with PBE.
Peak positions follow from Bragg's law for the DFT cell and can differ from measured ones.

Structural model:
```
32
Lattice="12.724 0.000 0.000 0.000 3.750 0.000 0.000 0.000 10.405" Properties=species:S:1:pos:R:3 pbc="T T T"
Hf 0.067 0.937 1.735
Hf 2.666 2.812 5.958
Hf 3.696 0.937 0.756
Hf 6.295 2.812 6.938
Hf 6.429 0.937 3.467
Hf 9.028 2.812 9.650
Hf 10.058 0.937 4.447
Hf 12.657 2.812 8.670
Ni 0.194 0.937 6.209
Ni 2.118 2.812 2.864
Ni 2.767 2.812 8.973
Ni 3.595 0.937 3.770
Ni 4.244 0.937 8.067
Ni 6.168 2.812 1.006
Ni 6.556 0.937 9.399
Ni 8.480 2.812 2.338
Ni 9.129 2.812 6.635
Ni 9.957 0.937 1.432
Ni 10.606 0.937 7.541
Ni 12.530 2.812 4.197
As 1.296 0.937 4.146
As 1.595 2.812 0.558
As 1.816 0.937 7.914
As 4.546 2.812 2.711
As 4.767 0.937 5.760
As 5.066 2.812 9.349
As 7.658 0.937 1.056
As 7.957 2.812 4.645
As 8.178 0.937 7.694
As 10.908 2.812 2.492
As 11.129 0.937 9.848
As 11.428 2.812 6.259
```

Principal peaks in the range 2θ = 5–70°, in order of rising 2θ:
Position (°2θ)  Rel. int.
33.03  37
35.23  61
36.34  78
37.06  35
38.08  100
42.91  30
44.12  28
46.53  22
48.56  50
50.44  25
54.89  15
67.68  16

---

No. 2
HfNiAs: simulated PXRD pattern (Cu Kα (λ = 1.5418 Å)), based on a crystal structure in the Materials Project, relaxed with PBE.
Peak positions follow from Bragg's law for the DFT cell and can differ from measured ones.

Structural model:
```
12
Lattice="6.456 0.000 0.000 0.000 3.862 0.000 0.000 0.000 7.289" Properties=species:S:1:pos:R:3 pbc="T T T"
Hf 0.075 0.965 1.377
Hf 3.153 2.896 5.022
Hf 3.303 0.965 2.268
Hf 6.381 2.896 5.912
Ni 1.103 0.965 4.209
Ni 2.125 2.896 0.565
Ni 4.331 0.965 6.725
Ni 5.353 2.896 3.080
As 1.385 2.896 2.893
As 1.843 0.965 6.538
As 4.613 2.896 0.752
As 5.071 0.965 4.396
```

Principal peaks in the range 2θ = 5–70°, in order of rising 2θ:
Position (°2θ)  Rel. int.
26.11  20
36.65  63
37.21  30
38.39  100
39.63  23
43.87  18
44.03  30
47.06  29
57.73  12
61.47  14
63.17  12
66.29  10

---

No. 3
HfNi4As2: simulated PXRD pattern (Cu Kα (λ = 1.5418 Å)), based on a crystal structure in the Materials Project, relaxed with PBE.
Peak positions follow from Bragg's law for the DFT cell and can differ from measured ones.

Structural model:
```
14
Lattice="7.031 0.000 0.000 0.000 7.031 0.000 0.000 0.000 3.763" Properties=species:S:1:pos:R:3 pbc="T T T"
Hf 0.000 0.000 0.000
Hf 3.515 3.515 1.881
Ni 0.639 2.417 1.881
Ni 1.098 4.154 0.000
Ni 2.417 0.639 1.881
Ni 2.877 5.933 0.000
Ni 4.154 1.098 0.000
Ni 4.613 6.392 1.881
Ni 5.933 2.877 0.000
Ni 6.392 4.613 1.881
As 1.521 5.510 1.881
As 1.994 1.994 0.000
As 5.037 5.037 0.000
As 5.510 1.521 1.881
```

Principal peaks in the range 2θ = 5–70°, in order of rising 2θ:
Position (°2θ)  Rel. int.
26.87  17
36.13  24
37.27  100
40.58  38
43.64  25
45.60  9
47.50  38
48.38  27
53.76  13
59.52  11
61.85  10
64.93  19